# 1
Starting from a GGA-PBE-relaxed structure, the X-ray diffraction stick pattern of AcPbI was calculated for Cu Kα, 1.54184 Å.

Structural model:
```
AcPbI
1.0
4.4308 -2.5617 0.0000
4.4308 2.5617 0.0000
-0.0257 0.0000 11.7278
Ac Pb I
2 2 2
direct
0.0001 0.0001 0.1868
0.9999 0.9999 0.8132
0.3333 0.3333 0.0260
0.6667 0.6667 0.9740
0.3329 0.3329 0.6538
0.6671 0.6671 0.3462
```

Principal peaks in the range 2θ from 10° to 90°, low angle first:
- 2θ 25.18, intensity 96
- 2θ 30.49, intensity 100
- 2θ 35.05, intensity 81
- 2θ 35.91, intensity 23
- 2θ 43.65, intensity 45
- 2θ 47.11, intensity 25
- 2θ 52.91, intensity 12
- 2θ 57.17, intensity 30
- 2θ 60.06, intensity 27
- 2θ 62.88, intensity 15

=====

# 2
Starting from a GGA-PBE-relaxed structure, the X-ray diffraction stick pattern of AcPbI5 was calculated for Cu Kα, 1.54184 Å.

Structural model:
```
AcPbI5
1.0
9.3236 0.0000 0.0000
0.0000 4.7607 0.0000
-0.9289 0.0000 15.3840
Ac Pb I
2 2 10
direct
0.0872 0.2500 0.1535
0.9128 0.7500 0.8465
0.4069 0.7500 0.3688
0.5931 0.2500 0.6312
0.1265 0.2500 0.7875
0.1527 0.2500 0.3713
0.1866 0.7500 0.0138
0.3605 0.7500 0.5718
0.4340 0.2500 0.1893
0.5660 0.7500 0.8107
0.6395 0.2500 0.4282
0.8134 0.2500 0.9862
0.8473 0.7500 0.6287
0.8735 0.7500 0.2125
```

Principal peaks in the range 2θ from 10° to 90°, low angle first:
- 2θ 10.81, intensity 100
- 2θ 24.25, intensity 35
- 2θ 26.79, intensity 41
- 2θ 26.92, intensity 37
- 2θ 27.17, intensity 18
- 2θ 28.77, intensity 25
- 2θ 29.02, intensity 23
- 2θ 36.50, intensity 35
- 2θ 37.79, intensity 29
- 2θ 39.99, intensity 18

=====

# 3
Starting from a GGA-PBE-relaxed structure, the X-ray diffraction stick pattern of Ac4Pd3I was calculated for Cu Kα, 1.54184 Å.

Structural model:
```
Ac4Pd3I
1.0
4.3620 0.0000 0.0000
0.0000 6.4922 0.0000
0.0000 0.0000 9.4361
Ac Pd I
4 3 1
direct
0.0000 0.0000 0.0000
0.0000 0.0000 0.5000
0.5000 0.5000 0.2151
0.5000 0.5000 0.7849
0.0000 0.5000 0.0000
0.5000 0.0000 0.2551
0.5000 0.0000 0.7449
0.0000 0.5000 0.5000
```

Principal peaks in the range 2θ from 10° to 90°, low angle first:
- 2θ 24.59, intensity 14
- 2θ 27.48, intensity 55
- 2θ 27.86, intensity 100
- 2θ 38.15, intensity 18
- 2θ 39.53, intensity 79
- 2θ 41.40, intensity 19
- 2θ 47.65, intensity 19
- 2θ 50.40, intensity 23
- 2θ 64.35, intensity 19
- 2θ 64.93, intensity 15

=====

# 4
Starting from a GGA-PBE-relaxed structure, the X-ray diffraction stick pattern of Ac6PdRh2I2 was calculated for Cu Kα, 1.54184 Å.

Structural model:
```
Ac6PdRh2I2
1.0
3.8261 -6.6050 0.0000
3.8261 6.6050 0.0000
-2.5041 0.0000 8.5368
Ac Pd Rh I
6 1 2 2
direct
0.0963 0.4347 0.8122
0.2171 0.2171 0.1879
0.4347 0.0963 0.8122
0.5653 0.9037 0.1878
0.7829 0.7829 0.8121
0.9037 0.5653 0.1878
0.5000 0.5000 0.0000
0.1696 0.8304 0.0000
0.8304 0.1696 0.0000
0.3344 0.6656 0.5000
0.6656 0.3344 0.5000
```

Principal peaks in the range 2θ from 10° to 90°, low angle first:
- 2θ 10.36, intensity 33
- 2θ 24.35, intensity 14
- 2θ 27.18, intensity 100
- 2θ 33.89, intensity 16
- 2θ 36.69, intensity 16
- 2θ 40.89, intensity 27
- 2θ 40.99, intensity 13
- 2θ 45.70, intensity 11
- 2θ 49.90, intensity 13
- 2θ 66.33, intensity 10

=====

# 5
Starting from a GGA-PBE-relaxed structure, the X-ray diffraction stick pattern of AcPm2I6 was calculated for Cu Kα, 1.54184 Å.

Structural model:
```
AcPm2I6
1.0
3.9489 2.2799 7.1687
-3.9489 2.2799 7.1687
0.0000 -4.5598 7.1687
Ac Pm I
1 2 6
direct
0.0000 0.0000 0.0000
0.6635 0.6635 0.6635
0.8278 0.8278 0.8278
0.0980 0.7106 0.4317
0.2489 0.5651 0.9156
0.4317 0.0980 0.7106
0.5651 0.9156 0.2489
0.7106 0.4317 0.0980
0.9156 0.2489 0.5651
```

Principal peaks in the range 2θ from 10° to 90°, low angle first:
- 2θ 13.59, intensity 40
- 2θ 24.45, intensity 19
- 2θ 25.76, intensity 100
- 2θ 26.39, intensity 17
- 2θ 33.77, intensity 83
- 2θ 39.53, intensity 51
- 2θ 44.31, intensity 22
- 2θ 52.94, intensity 22
- 2θ 66.34, intensity 22
- 2θ 68.04, intensity 20

=====

# 6
Starting from a GGA-PBE-relaxed structure, the X-ray diffraction stick pattern of AcPrI5 was calculated for Cu Kα, 1.54184 Å.

Structural model:
```
AcPrI5
1.0
9.6497 0.0000 0.0000
0.0000 4.4508 0.0000
-1.5325 0.0000 15.2767
Ac Pr I
2 2 10
direct
0.0837 0.2500 0.1602
0.9163 0.7500 0.8398
0.3952 0.7500 0.3525
0.6048 0.2500 0.6475
0.1397 0.2500 0.7815
0.1581 0.2500 0.3798
0.1837 0.7500 0.0147
0.3742 0.7500 0.5695
0.4344 0.2500 0.2000
0.5656 0.7500 0.8000
0.6258 0.2500 0.4305
0.8163 0.2500 0.9853
0.8419 0.7500 0.6202
0.8603 0.7500 0.2185
```

Principal peaks in the range 2θ from 10° to 90°, low angle first:
- 2θ 10.38, intensity 100
- 2θ 25.38, intensity 23
- 2θ 26.76, intensity 29
- 2θ 27.32, intensity 37
- 2θ 27.59, intensity 54
- 2θ 29.04, intensity 37
- 2θ 29.22, intensity 25
- 2θ 30.85, intensity 22
- 2θ 37.45, intensity 31
- 2θ 40.54, intensity 25

=====

# 7
Starting from a GGA-PBE-relaxed structure, the X-ray diffraction stick pattern of AcPrSI was calculated for Cu Kα, 1.54184 Å.

Structural model:
```
AcPrSI
1.0
3.6085 -2.0758 0.0000
3.6085 2.0758 0.0000
-2.4142 0.0000 8.3525
Ac Pr S I
1 1 1 1
direct
0.0000 0.0000 0.0000
0.7980 0.7980 0.3969
0.4035 0.4035 0.2116
0.2262 0.2262 0.6801
```

Principal peaks in the range 2θ from 10° to 90°, low angle first:
- 2θ 24.98, intensity 44
- 2θ 28.59, intensity 61
- 2θ 30.56, intensity 100
- 2θ 32.15, intensity 19
- 2θ 43.48, intensity 29
- 2θ 43.60, intensity 14
- 2θ 44.02, intensity 25
- 2θ 53.98, intensity 12
- 2θ 54.17, intensity 13
- 2θ 55.15, intensity 17

=====

# 8
Starting from a GGA-PBE-relaxed structure, the X-ray diffraction stick pattern of Ac4Pt3I was calculated for Cu Kα, 1.54184 Å.

Structural model:
```
Ac4Pt3I
1.0
4.4313 0.0000 0.0000
-2.2157 3.8376 0.0000
0.0000 0.0000 31.6716
Ac Pt I
8 6 2
direct
0.0000 0.0000 0.1638
0.0000 0.0000 0.3362
0.0000 0.0000 0.6638
0.0000 0.0000 0.8362
0.3333 0.6667 0.0559
0.3333 0.6667 0.4441
0.6667 0.3333 0.5559
0.6667 0.3333 0.9441
0.0000 0.0000 0.0000
0.0000 0.0000 0.5000
0.3333 0.6667 0.6145
0.3333 0.6667 0.8855
0.6667 0.3333 0.1145
0.6667 0.3333 0.3855
0.3333 0.6667 0.2500
0.6667 0.3333 0.7500
```

Principal peaks in the range 2θ from 10° to 90°, low angle first:
- 2θ 27.17, intensity 59
- 2θ 28.76, intensity 100
- 2θ 30.55, intensity 22
- 2θ 39.11, intensity 28
- 2θ 40.72, intensity 65
- 2θ 41.53, intensity 31
- 2θ 50.62, intensity 22
- 2θ 51.97, intensity 13
- 2θ 66.90, intensity 19
- 2θ 68.04, intensity 22